# Nd2SmY6
Calculated powder X-ray diffraction pattern, CuKα. Input: a cell relaxed with GGA-PBE.
Neutral-atom scattering factors, no anomalous dispersion.

Main lines, sorted by position (2θ from 10° to 90°):
- 28.5°, 3.135 Å, I = 65
- 30.7°, 2.908 Å, I = 100
- 30.9°, 2.893 Å, I = 62
- 31.2°, 2.869 Å, I = 70
- 32.0°, 2.796 Å, I = 53
- 32.9°, 2.722 Å, I = 42
- 33.3°, 2.694 Å, I = 40
- 33.9°, 2.646 Å, I = 30
- 41.7°, 2.167 Å, I = 23
- 59.9°, 1.544 Å, I = 22

Structure:
Cell lengths 9.669, 9.669, 6.628 Å; angles 98.66, 98.66, 95.68 degrees
Fractional coordinates of all 18 atoms:
1 Nd 0.114 0.166 0.372
2 Nd 0.166 0.114 0.872
3 Nd 0.834 0.886 0.128
4 Nd 0.886 0.834 0.628
5 Sm 0.381 0.619 0.750
6 Sm 0.619 0.381 0.250
7 Y 0.040 0.441 0.730
8 Y 0.154 0.777 0.997
9 Y 0.223 0.846 0.503
10 Y 0.279 0.452 0.185
11 Y 0.441 0.040 0.230
12 Y 0.452 0.279 0.685
13 Y 0.548 0.721 0.315
14 Y 0.559 0.960 0.770
15 Y 0.721 0.548 0.815
16 Y 0.777 0.154 0.497
17 Y 0.846 0.223 0.003
18 Y 0.960 0.559 0.270